Record 1
This entry pairs a crystal structure of FeCuSnRu with its calculated X-ray powder pattern. Radiation: Cu Kα (weighted mean of Kα1 and Kα2). Structure: a crystal structure in Alexandria, relaxed with GGA-PBE.

Structure:
Cell: 6.1967 6.1967 6.1967 Å, 90.00 90.00 90.00°
Space group F-43m (No. 216)
Symmetry-distinct sites (fractional):
Fe1 0.0000 0.0000 0.0000
Cu1 0.2500 0.2500 0.7500
Sn1 0.0000 0.0000 0.5000
Ru1 0.2500 0.2500 0.2500

Peak list (8 most intense, 2θ = 10–90°, low angle first)
24.89 deg, I 9.8; 41.20 deg, I 100.0; 48.74 deg, I 5.4; 59.69 deg, I 16.3; 65.68 deg, I 2.5; 75.10 deg, I 32.8; 80.55 deg, I 2.1; 89.46 deg, I 10.8

Record 2
This entry pairs a crystal structure of FeCu3S8 with its calculated X-ray powder pattern. Radiation: Cu Kα (weighted mean of Kα1 and Kα2). Structure: a crystal structure in Alexandria, relaxed with GGA-PBE.

Structure:
Cell: 8.0300 8.0300 9.9775 Å, 90.00 90.00 120.00°
Space group R-3 (No. 148, hexagonal axes)
Symmetry-distinct sites (fractional):
Fe1 0.0000 0.0000 0.0000
Cu1 0.0000 0.5000 0.0000
S1 0.0000 0.0000 0.3984
S2 0.0286 0.2525 0.8738

Peak list (8 most intense, 2θ = 10–90°, low angle first)
27.16 deg, I 21.7; 31.36 deg, I 100.0; 35.31 deg, I 19.7; 44.71 deg, I 25.2; 45.17 deg, I 25.2; 52.90 deg, I 22.0; 53.30 deg, I 38.6; 53.50 deg, I 19.7

Record 3
This entry pairs a crystal structure of FeCu3S8 with its calculated X-ray powder pattern. Radiation: Cu Kα (weighted mean of Kα1 and Kα2). Structure: a crystal structure in Alexandria, relaxed with GGA-PBE.

Structure:
Cell: 5.6803 5.6732 12.8376 Å, 90.00 115.69 90.00°
Space group P2_1/c (No. 14)
Symmetry-distinct sites (fractional):
Fe1 0.0000 0.0000 0.0000
Cu1 0.2510 0.0015 0.7482
Cu2 0.5000 0.0000 0.5000
S1 0.0523 0.6211 0.9523
S2 0.0897 0.5957 0.6881
S3 0.3980 0.1044 0.2980
S4 0.4265 0.0976 0.0482

Peak list (8 most intense, 2θ = 10–90°, low angle first)
26.95 deg, I 24.4; 30.92 deg, I 54.7; 31.52 deg, I 100.0; 35.36 deg, I 25.6; 44.75 deg, I 26.1; 45.18 deg, I 25.4; 53.27 deg, I 22.7; 53.55 deg, I 37.8

Record 4
This entry pairs a crystal structure of Fe4Cu2S7 with its calculated X-ray powder pattern. Radiation: Cu Kα (weighted mean of Kα1 and Kα2). Structure: a crystal structure in Alexandria, relaxed with GGA-PBE.

Structure:
Cell: 5.1128 8.2964 11.8058 Å, 90.00 90.00 90.00°
Space group Pmma (No. 51)
Symmetry-distinct sites (fractional):
Fe1 0.9998 0.1529 0.2259
Cu1 0.0108 0.5000 0.2779
S1 0.2500 0.0000 0.3295
S2 0.2500 0.0000 0.8794
S3 0.2500 0.2829 0.6635
S4 0.2500 0.3108 0.1355
S5 0.2500 0.5000 0.4486

Peak list (8 most intense, 2θ = 10–90°, low angle first)
15.01 deg, I 100.0; 31.64 deg, I 14.8; 35.86 deg, I 11.9; 38.37 deg, I 13.1; 44.92 deg, I 13.9; 47.03 deg, I 12.5; 48.49 deg, I 14.7; 51.05 deg, I 17.5

Record 5
This entry pairs a crystal structure of Fe9Cu9S16 with its calculated X-ray powder pattern. Radiation: Cu Kα (weighted mean of Kα1 and Kα2). Structure: a crystal structure in Alexandria, relaxed with GGA-PBE.

Structure:
Cell: 10.5811 10.5811 5.2674 Å, 90.00 90.00 90.00°
Space group P-42m (No. 111)
Symmetry-distinct sites (fractional):
Fe1 0.0000 0.0000 0.0000
Fe2 0.0000 0.0000 0.5000
Fe3 0.0000 0.5000 0.0000
Fe4 0.2497 0.5000 0.5000
Fe5 0.5000 0.5000 0.5000
Cu1 0.0000 0.2572 0.5000
Cu2 0.2480 0.2480 0.0152
Cu3 0.5000 0.5000 0.0000
S1 0.1230 0.1230 0.7549
S2 0.1264 0.3780 0.2483
S3 0.3748 0.3748 0.7379

Peak list (8 most intense, 2θ = 10–90°, low angle first)
29.28 deg, I 100.0; 33.89 deg, I 11.7; 48.68 deg, I 27.9; 48.79 deg, I 55.1; 57.83 deg, I 25.3; 58.03 deg, I 12.4; 71.31 deg, I 8.1; 79.06 deg, I 9.3

Record 6
This entry pairs a crystal structure of FeCuSeS with its calculated X-ray powder pattern. Radiation: Cu Kα (weighted mean of Kα1 and Kα2). Structure: a crystal structure in Alexandria, relaxed with GGA-PBE.

Structure:
Cell: 5.3872 5.4405 10.6889 Å, 90.00 90.00 90.00°
Space group I2_12_12_1 (No. 24)
Symmetry-distinct sites (fractional):
Fe1 0.0000 0.2500 0.1134
Cu1 0.0000 0.2500 0.6136
Se1 0.2455 0.5000 0.2500
S1 0.2500 0.0019 0.0000

Peak list (8 most intense, 2θ = 10–90°, low angle first)
28.69 deg, I 100.0; 47.50 deg, I 23.5; 47.71 deg, I 22.2; 47.96 deg, I 21.8; 56.22 deg, I 13.7; 56.66 deg, I 13.3; 57.02 deg, I 11.9; 88.44 deg, I 7.1

Record 7
This entry pairs a crystal structure of FeCu6Sn2S8 with its calculated X-ray powder pattern. Radiation: Cu Kα (weighted mean of Kα1 and Kα2). Structure: a crystal structure in Alexandria, relaxed with GGA-PBE.

Structure:
Cell: 7.7826 7.7826 5.4375 Å, 90.00 90.00 90.00°
Space group P-4m2 (No. 115)
Symmetry-distinct sites (fractional):
Fe1 0.0000 0.0000 0.0000
Cu1 0.0000 0.5000 0.9618
Cu2 0.2549 0.2549 0.5000
Sn1 0.0000 0.0000 0.5000
Sn2 0.5000 0.5000 0.0000
S1 0.0000 0.2658 0.2257
S2 0.2416 0.5000 0.7333

Peak list (8 most intense, 2θ = 10–90°, low angle first)
19.92 deg, I 19.4; 28.20 deg, I 100.0; 30.49 deg, I 24.6; 32.54 deg, I 24.0; 46.69 deg, I 38.5; 46.98 deg, I 72.3; 55.44 deg, I 26.2; 86.89 deg, I 23.0

Record 8
This entry pairs a crystal structure of Zr3FeCu2S8 with its calculated X-ray powder pattern. Radiation: Cu Kα (weighted mean of Kα1 and Kα2). Structure: a crystal structure in Alexandria, relaxed with GGA-PBE.

Structure:
Cell: 7.3147 7.3147 17.4693 Å, 90.00 90.00 120.00°
Space group R-3m (No. 166, hexagonal axes)
Symmetry-distinct sites (fractional):
Zr1 0.0000 0.5000 0.0000
Fe1 0.0000 0.0000 0.5000
Cu1 0.0000 0.0000 0.1207
S1 0.0000 0.0000 0.2506
S2 0.0193 0.5096 0.2444

Peak list (8 most intense, 2θ = 10–90°, low angle first)
24.76 deg, I 33.6; 28.64 deg, I 87.5; 28.83 deg, I 88.4; 29.19 deg, I 52.5; 35.00 deg, I 100.0; 45.95 deg, I 39.8; 49.87 deg, I 86.9; 50.78 deg, I 80.8